1.
Computed PXRD pattern
Compound: NaLuFeTe3
Radiation: Cu Kα
Structure: a cell relaxed with GGA-PBE
No peak broadening, texture or thermal motion is included.

Top 10 peaks for 10° ≤ 2θ ≤ 90°, low angle first:
- 11.9°, rel. 1000, (1 0 -1)
- 24.0°, rel. 401, (1 1 0)
- 27.2°, rel. 610, (0 0 3)
- 30.0°, rel. 750, (2 1 -1)
- 30.4°, rel. 550, (2 1 0)
- 34.2°, rel. 285, (1 1 -3)
- 43.2°, rel. 446, (2 1 -4)
- 43.6°, rel. 275, (0 2 0)
- 45.3°, rel. 304, (2 1 3)
- 52.2°, rel. 290, (0 2 3)

Cell: 8.6618 4.1476 10.2127 Å, 90.00 105.92 90.00°
Fractional coordinates of all 12 atoms:
Na  0.2213  0.2500  0.2744
Na  0.7787  0.7500  0.7256
Lu  0.3256  0.7500  0.8512
Lu  0.6744  0.2500  0.1488
Fe  0.0644  0.2500  0.5798
Fe  0.9356  0.7500  0.4202
Te  0.0728  0.2500  0.8399
Te  0.2453  0.7500  0.5385
Te  0.4268  0.7500  0.1565
Te  0.5732  0.2500  0.8435
Te  0.7547  0.2500  0.4615
Te  0.9272  0.7500  0.1601


2.
Computed PXRD pattern
Compound: DyYMg3Pd2
Radiation: Cu Kα
Structure: a cell relaxed with GGA-PBE
No peak broadening, texture or thermal motion is included.

Top 10 peaks for 10° ≤ 2θ ≤ 90°, low angle first:
- 25.3°, rel. 251, (0 0 6)
- 32.8°, rel. 553, (1 1 1)
- 34.0°, rel. 214, (0 0 8)
- 35.0°, rel. 1000, (1 1 3)
- 35.5°, rel. 292, (1 0 6)
- 36.6°, rel. 381, (0 1 7)
- 39.0°, rel. 700, (1 1 5)
- 42.7°, rel. 296, (0 2 0)
- 44.1°, rel. 180, (0 1 9)
- 50.3°, rel. 259, (2 0 0)

Cell: 3.6300 4.2342 21.1056 Å, 90.00 90.00 90.00°
Fractional coordinates of all 14 atoms:
Dy  0.0000  0.0000  0.0000
Dy  0.0000  0.5000  0.5000
Y  0.0000  0.0000  0.6559
Y  0.0000  0.5000  0.1559
Mg  0.0000  0.0000  0.8273
Mg  0.0000  0.5000  0.3273
Mg  0.5000  0.0000  0.2522
Mg  0.5000  0.0000  0.4025
Mg  0.5000  0.5000  0.7522
Mg  0.5000  0.5000  0.9025
Pd  0.5000  0.0000  0.1215
Pd  0.5000  0.0000  0.5318
Pd  0.5000  0.5000  0.0318
Pd  0.5000  0.5000  0.6215


3.
Computed PXRD pattern
Compound: Pr3GaBr2Cl
Radiation: Cu Kα
Structure: a cell relaxed with GGA-PBE
No peak broadening, texture or thermal motion is included.

Top 10 peaks for 10° ≤ 2θ ≤ 90°, low angle first:
- 14.8°, rel. 339, (1 0 0)
- 21.1°, rel. 188, (1 1 0)
- 29.6°, rel. 517, (0 0 2)
- 29.9°, rel. 1000, (2 0 0)
- 42.6°, rel. 754, (2 0 2)
- 42.9°, rel. 370, (2 2 0)
- 52.9°, rel. 395, (2 2 2)
- 69.8°, rel. 170, (2 0 4)
- 70.4°, rel. 166, (4 0 2)
- 78.3°, rel. 247, (4 2 2)

Cell: 5.9670 5.9670 6.0427 Å, 90.00 90.00 90.00°
Fractional coordinates of all 7 atoms:
Pr  0.0000  0.0000  0.0000
Pr  0.0000  0.5000  0.5000
Pr  0.5000  0.0000  0.5000
Ga  0.0000  0.0000  0.5000
Br  0.0000  0.5000  0.0000
Br  0.5000  0.0000  0.0000
Cl  0.5000  0.5000  0.5000


Copy entry 3 word for word.
Computed PXRD pattern
Compound: Pr3GaBr2Cl
Radiation: Cu Kα
Structure: a cell relaxed with GGA-PBE
No peak broadening, texture or thermal motion is included.

Top 10 peaks for 10° ≤ 2θ ≤ 90°, low angle first:
- 14.8°, rel. 339, (1 0 0)
- 21.1°, rel. 188, (1 1 0)
- 29.6°, rel. 517, (0 0 2)
- 29.9°, rel. 1000, (2 0 0)
- 42.6°, rel. 754, (2 0 2)
- 42.9°, rel. 370, (2 2 0)
- 52.9°, rel. 395, (2 2 2)
- 69.8°, rel. 170, (2 0 4)
- 70.4°, rel. 166, (4 0 2)
- 78.3°, rel. 247, (4 2 2)

Cell: 5.9670 5.9670 6.0427 Å, 90.00 90.00 90.00°
Fractional coordinates of all 7 atoms:
Pr  0.0000  0.0000  0.0000
Pr  0.0000  0.5000  0.5000
Pr  0.5000  0.0000  0.5000
Ga  0.0000  0.0000  0.5000
Br  0.0000  0.5000  0.0000
Br  0.5000  0.0000  0.0000
Cl  0.5000  0.5000  0.5000